Nb9VO25: simulated XRD peak list (CuKα), based on a cell relaxed with PBE+U.

Atomic structure:
```
35
Lattice="-8.0326 8.0326 1.9357 8.0326 -8.0326 1.9357 8.0326 8.0326 -1.9357" Properties=species:S:1:pos:R:3 pbc="T T T"
Nb 0.0000 0.0000 0.0000
Nb 3.5013 1.6976 0.0002
Nb 10.8600 1.8700 -0.0381
Nb 6.3350 -4.5313 1.9355
Nb 1.8700 5.2052 0.0381
Nb 6.1626 2.8274 1.9738
Nb 1.6976 12.5639 -0.0002
Nb -2.8274 6.1626 1.8976
Nb 4.5313 6.3350 1.9359
V 8.0326 0.0000 0.9679
O 11.5906 0.2050 -0.0392
O 1.8580 0.8285 0.0060
O 8.9463 1.1545 0.0408
O 7.2041 -6.1747 1.9297
O 5.6580 2.5523 -0.0044
O 12.5939 2.8271 0.0338
O 2.8271 3.4713 -0.0338
O 9.8255 3.9975 0.0111
O 0.2050 4.4747 0.0392
O 5.4803 -2.3746 1.9401
O 3.9975 6.2398 -0.0111
O 1.1545 7.1189 -0.0408
O 0.0000 0.0000 1.9357
O 6.8781 0.9137 1.8949
O 4.0352 1.7929 1.9246
O 2.5523 10.4072 0.0044
O 7.8276 3.5580 1.9749
O -1.7929 4.0352 1.9468
O 5.2056 4.5613 1.9019
O -4.5613 5.2056 1.9695
O 2.3746 5.4803 1.9313
O 0.8285 14.2073 -0.0060
O -0.9137 6.8781 1.9765
O 6.1747 7.2041 1.9417
O -3.5580 7.8276 1.8965
```

Most intense lines, 2θ from 10° to 80°, by intensity:
| 2θ (°) | I (rel.) |
| --- | --- |
| 24.78 | 100 |
| 23.64 | 47 |
| 30.59 | 38 |
| 17.46 | 26 |
| 51.57 | 23 |
| 42.87 | 22 |
| 26.15 | 21 |
| 32.61 | 19 |
| 35.34 | 19 |
| 53.80 | 17 |